This entry pairs a crystal structure of Zr4GaPt with its computed X-ray powder pattern. Radiation: Cu Kα X-rays. Structure: DFT lattice parameters and positions (PBE).
Lines closer than 0.1° are merged.

Principal peaks in the range 2θ from 15° to 90°, in order of rising 2θ:
| 2θ/deg | I (rel.) |
| --- | --- |
| 18.63 | 25.2 |
| 34.05 | 100.0 |
| 38.20 | 54.7 |
| 42.44 | 61.7 |
| 42.82 | 46.3 |
| 68.49 | 25.9 |

Structural model:
abc: 5.480 5.480 5.480
angles: 104.17 104.17 120.70
Atoms (fractional coordinates):
1 Zr 0.093 0.593 0.186
2 Zr 0.407 0.907 0.814
3 Zr 0.593 0.407 0.500
4 Zr 0.907 0.093 0.500
5 Ga 0.000 0.000 0.000
6 Pt 0.500 0.500 0.000



This entry pairs a crystal structure of Nd2Y7Ho3 with its computed X-ray powder pattern. Radiation: Cu Kα X-rays. Structure: DFT lattice parameters and positions (PBE).
Lines closer than 0.1° are merged.

Principal peaks in the range 2θ from 15° to 90°, in order of rising 2θ:
| 2θ/deg | I (rel.) |
| --- | --- |
| 30.88 | 66.7 |
| 31.04 | 100.0 |
| 31.31 | 44.8 |
| 31.66 | 41.8 |
| 33.46 | 41.6 |
| 34.45 | 36.3 |

Structural model:
abc: 5.812 3.605 18.777
angles: 90.00 93.71 90.00
Atoms (fractional coordinates):
1 Nd 0.207 0.000 0.294
2 Nd 0.793 0.000 0.706
3 Y 0.181 0.500 0.142
4 Y 0.242 0.000 0.462
5 Y 0.315 0.000 0.823
6 Y 0.500 0.500 0.000
7 Y 0.685 0.000 0.177
8 Y 0.758 0.000 0.538
9 Y 0.819 0.500 0.858
10 Ho 0.000 0.000 0.000
11 Ho 0.277 0.500 0.631
12 Ho 0.723 0.500 0.369